No. 1
This entry pairs a crystal structure of RbSn5Sb4 with its theoretical X-ray powder pattern. Radiation: λ = 1.5418 Å (Cu Kα). Structure: DFT lattice parameters and positions (GGA-PBE).
Peak positions follow from Bragg's law for the DFT cell and can differ from measured ones.

```
RbSn5Sb4
1.0
12.4816 0.0000 0.0000
0.0000 13.0325 0.0000
0.0000 0.0000 4.2585
Rb Sn Sb
2 10 8
direct
0.2500 0.2500 0.2498 Rb
0.7500 0.7500 0.7502 Rb
0.0828 0.5368 0.2499 Sn
0.0828 0.9632 0.2499 Sn
0.2500 0.7500 0.6260 Sn
0.4172 0.5368 0.2499 Sn
0.4172 0.9632 0.2499 Sn
0.5828 0.0368 0.7501 Sn
0.5828 0.4632 0.7501 Sn
0.7500 0.2500 0.3740 Sn
0.9172 0.0368 0.7501 Sn
0.9172 0.4632 0.7501 Sn
0.0571 0.7500 0.0730 Sb
0.2500 0.0030 0.7447 Sb
0.2500 0.4970 0.7447 Sb
0.4429 0.7500 0.0730 Sb
0.5571 0.2500 0.9270 Sb
0.7500 0.5030 0.2553 Sb
0.7500 0.9970 0.2553 Sb
0.9429 0.2500 0.9270 Sb
```

Peak list (6 most intense, 2θ = 10–80°, in order of rising 2θ)
| 2θ (°) | d [Å] | I (rel.) |
| --- | --- | --- |
| 26.24 | 3.396 | 39 |
| 27.37 | 3.258 | 91 |
| 30.03 | 2.976 | 100 |
| 33.09 | 2.707 | 78 |
| 41.08 | 2.197 | 50 |
| 43.50 | 2.080 | 31 |

No. 2
This entry pairs a crystal structure of RbSn3Sb with its theoretical X-ray powder pattern. Radiation: λ = 1.5418 Å (Cu Kα). Structure: DFT lattice parameters and positions (GGA-PBE).
Peak positions follow from Bragg's law for the DFT cell and can differ from measured ones.

```
RbSn3Sb
1.0
6.8581 0.0000 0.0000
0.0141 7.0148 0.0000
0.0107 0.0006 7.2058
Rb Sn Sb
2 6 2
direct
0.0000 0.0000 0.0000 Rb
0.5001 0.4752 0.5000 Rb
0.2480 0.9742 0.5242 Sn
0.2517 0.5013 0.0241 Sn
0.5001 0.8620 0.1799 Sn
0.7474 0.5010 0.0235 Sn
0.7524 0.9741 0.5235 Sn
0.9994 0.6133 0.6796 Sn
0.0007 0.3105 0.3816 Sb
0.4998 0.1649 0.8819 Sb
```

Peak list (6 most intense, 2θ = 10–80°, in order of rising 2θ)
| 2θ (°) | d [Å] | I (rel.) |
| --- | --- | --- |
| 21.92 | 4.054 | 36 |
| 24.71 | 3.603 | 18 |
| 31.58 | 2.833 | 100 |
| 35.73 | 2.513 | 25 |
| 39.69 | 2.271 | 22 |
| 61.63 | 1.505 | 19 |

No. 3
This entry pairs a crystal structure of Rb4SnSb4 with its theoretical X-ray powder pattern. Radiation: λ = 1.5418 Å (Cu Kα). Structure: DFT lattice parameters and positions (GGA-PBE).
Peak positions follow from Bragg's law for the DFT cell and can differ from measured ones.

```
Rb4SnSb4
1.0
-3.6873 3.6873 8.5664
3.6873 -3.6873 8.5664
3.6873 3.6873 -8.5664
Rb Sn Sb
4 1 4
direct
0.1609 0.1609 0.6190 Rb
0.4581 0.8391 0.0000 Rb
0.5419 0.5419 0.3810 Rb
0.8391 0.4581 0.0000 Rb
0.0000 0.0000 0.0000 Sn
0.0123 0.7144 0.0000 Sb
0.2856 0.2856 0.2979 Sb
0.7144 0.0123 0.0000 Sb
0.9877 0.9877 0.7021 Sb
```

Peak list (6 most intense, 2θ = 10–80°, in order of rising 2θ)
| 2θ (°) | d [Å] | I (rel.) |
| --- | --- | --- |
| 13.07 | 6.774 | 69 |
| 17.00 | 5.215 | 40 |
| 20.74 | 4.283 | 45 |
| 27.54 | 3.239 | 100 |
| 31.32 | 2.856 | 41 |
| 37.86 | 2.376 | 64 |